[1]
Theoretical powder diffraction line list
Compound: NdTmAsO
Radiation: Cu Ka
Structure: a DFT-relaxed cell (PBE, OQMD)
Intensities are scaled so that the largest is 100.

Largest 10 diffraction maxima, sorted by position, 2θ = 10–90°:
- d 4.032, 22.05 deg, rel. 40
- d 3.662, 24.31 deg, rel. 92
- d 3.066, 29.12 deg, rel. 100
- d 2.804, 31.91 deg, rel. 88
- d 2.424, 37.09 deg, rel. 54
- d 2.249, 40.08 deg, rel. 52
- d 2.226, 40.52 deg, rel. 45
- d 2.055, 44.06 deg, rel. 38
- d 1.755, 52.12 deg, rel. 46
- d 1.658, 55.43 deg, rel. 36

Unit cell a=4.1103 b=8.0630 c=5.6087 alpha=90.00 beta=90.00 gamma=90.00
Space group Pmc2_1 (No. 26)
Asymmetric unit:
Nd 0.0000 0.1230 0.0000 (multiplicity 2)
Tm 0.5000 0.2898 0.4675 (multiplicity 2)
As 0.5000 0.3618 0.9639 (multiplicity 2)
O 0.0000 0.1784 0.4386 (multiplicity 2)

---

[2]
Theoretical powder diffraction line list
Compound: Cu15Hg
Radiation: Cu Ka
Structure: a DFT-relaxed cell (PBE, OQMD)
Intensities are scaled so that the largest is 100.

Largest 10 diffraction maxima, sorted by position, 2θ = 10–90°:
- d 8.370, 10.57 deg, rel. 15
- d 6.975, 12.69 deg, rel. 15
- d 2.296, 39.24 deg, rel. 14
- d 2.121, 42.63 deg, rel. 100
- d 2.061, 43.93 deg, rel. 89
- d 1.819, 50.14 deg, rel. 15
- d 1.806, 50.52 deg, rel. 61
- d 1.282, 73.93 deg, rel. 17
- d 1.278, 74.23 deg, rel. 17
- d 1.094, 89.57 deg, rel. 21

Unit cell a=3.6131 b=3.6137 c=41.8484 alpha=90.00 beta=90.00 gamma=90.00
Space group Pmma (No. 51)
Asymmetric unit:
Cu 0.2500 0.0000 0.0214 (multiplicity 2)
Cu 0.2500 0.0000 0.1068 (multiplicity 2)
Cu 0.2500 0.0000 0.1924 (multiplicity 2)
Cu 0.2500 0.0000 0.2778 (multiplicity 2)
Cu 0.2500 0.0000 0.6794 (multiplicity 2)
Cu 0.2500 0.0000 0.7645 (multiplicity 2)
Cu 0.2500 0.0000 0.8503 (multiplicity 2)
Cu 0.2500 0.0000 0.9359 (multiplicity 2)
Cu 0.2500 0.5000 0.0641 (multiplicity 2)
Cu 0.2500 0.5000 0.1496 (multiplicity 2)
Cu 0.2500 0.5000 0.2349 (multiplicity 2)
Cu 0.2500 0.5000 0.7222 (multiplicity 2)
Cu 0.2500 0.5000 0.8076 (multiplicity 2)
Cu 0.2500 0.5000 0.8933 (multiplicity 2)
Cu 0.2500 0.5000 0.9786 (multiplicity 2)
Hg 0.2500 0.5000 0.3367 (multiplicity 2)

---

[3]
Theoretical powder diffraction line list
Compound: CsRbAg2Se2
Radiation: Cu Ka
Structure: a DFT-relaxed cell (PBE, OQMD)
Intensities are scaled so that the largest is 100.

Largest 10 diffraction maxima, sorted by position, 2θ = 10–90°:
- d 5.505, 16.10 deg, rel. 23
- d 3.681, 24.18 deg, rel. 53
- d 3.544, 25.12 deg, rel. 100
- d 2.904, 30.79 deg, rel. 73
- d 2.693, 33.28 deg, rel. 59
- d 2.553, 35.15 deg, rel. 40
- d 2.506, 35.83 deg, rel. 27
- d 2.144, 42.15 deg, rel. 39
- d 1.897, 47.95 deg, rel. 20
- d 1.772, 51.57 deg, rel. 23

Unit cell a=6.8360 b=7.0888 c=8.7363 alpha=90.00 beta=90.00 gamma=90.00
Space group Amm2 (No. 38)
Asymmetric unit:
Cs 0.0000 0.0000 0.0000 (multiplicity 2)
Rb 0.5000 0.0000 0.7375 (multiplicity 2)
Ag 0.2503 0.0000 0.3746 (multiplicity 4)
Se 0.0000 0.0000 0.5831 (multiplicity 2)
Se 0.5000 0.0000 0.1663 (multiplicity 2)

---

[4]
Theoretical powder diffraction line list
Compound: Li2Zn3GaPt2
Radiation: Cu Ka
Structure: a DFT-relaxed cell (PBE, OQMD)
Intensities are scaled so that the largest is 100.

Largest 10 diffraction maxima, sorted by position, 2θ = 10–90°:
- d 3.526, 25.26 deg, rel. 75
- d 3.053, 29.25 deg, rel. 3
- d 2.159, 41.84 deg, rel. 100
- d 1.841, 49.50 deg, rel. 37
- d 1.763, 51.86 deg, rel. 1
- d 1.527, 60.66 deg, rel. 16
- d 1.401, 66.77 deg, rel. 15
- d 1.366, 68.74 deg, rel. 1
- d 1.247, 76.40 deg, rel. 33
- d 1.175, 81.98 deg, rel. 12

Unit cell a=4.3187 b=4.3187 c=6.1054 alpha=90.00 beta=90.00 gamma=90.00
Space group P-4m2 (No. 115)
Asymmetric unit:
Li 0.0000 0.5000 0.2446 (multiplicity 2)
Zn 0.0000 0.0000 0.0000 (multiplicity 1)
Zn 0.0000 0.0000 0.5000 (multiplicity 1)
Zn 0.5000 0.5000 0.0000 (multiplicity 1)
Ga 0.5000 0.5000 0.5000 (multiplicity 1)
Pt 0.0000 0.5000 0.7440 (multiplicity 2)

---

[5]
Theoretical powder diffraction line list
Compound: K2TcCl5O
Radiation: Cu Ka
Structure: a DFT-relaxed cell (PBE, OQMD)
Intensities are scaled so that the largest is 100.

Largest 10 diffraction maxima, sorted by position, 2θ = 10–90°:
- d 5.662, 15.65 deg, rel. 95
- d 5.538, 16.00 deg, rel. 100
- d 4.774, 18.59 deg, rel. 30
- d 3.456, 25.78 deg, rel. 31
- d 2.988, 29.90 deg, rel. 59
- d 2.769, 32.33 deg, rel. 74
- d 2.713, 33.02 deg, rel. 62
- d 2.506, 35.84 deg, rel. 70
- d 2.387, 37.69 deg, rel. 39
- d 1.841, 49.52 deg, rel. 35

Unit cell a=13.2899 b=10.0227 c=6.8621 alpha=90.00 beta=90.00 gamma=90.00
Space group Pnma (No. 62)
Asymmetric unit:
K 0.1436 0.0006 0.1654 (multiplicity 8)
Tc 0.0939 0.7500 0.6668 (multiplicity 4)
Cl 0.0025 0.7500 0.9674 (multiplicity 4)
Cl 0.1074 0.5121 0.6878 (multiplicity 8)
Cl 0.2217 0.7500 0.4216 (multiplicity 4)
Cl 0.2472 0.7500 0.8937 (multiplicity 4)
O 0.0042 0.2500 0.4855 (multiplicity 4)

---

[6]
Theoretical powder diffraction line list
Compound: HoGeTe3Au
Radiation: Cu Ka
Structure: a DFT-relaxed cell (PBE, OQMD)
Intensities are scaled so that the largest is 100.

Largest 10 diffraction maxima, sorted by position, 2θ = 10–90°:
- d 7.285, 12.15 deg, rel. 42
- d 3.317, 26.88 deg, rel. 36
- d 3.097, 28.83 deg, rel. 28
- d 2.792, 32.06 deg, rel. 100
- d 2.606, 34.41 deg, rel. 20
- d 2.216, 40.72 deg, rel. 39
- d 2.155, 41.92 deg, rel. 24
- d 2.026, 44.74 deg, rel. 12
- d 1.965, 46.21 deg, rel. 10
- d 1.661, 55.31 deg, rel. 9

Unit cell a=11.1640 b=4.3106 c=14.5710 alpha=90.00 beta=90.00 gamma=90.00
Space group Pnma (No. 62)
Asymmetric unit:
Ho 0.0253 0.2500 0.2382 (multiplicity 4)
Ge 0.1672 0.7500 0.4836 (multiplicity 4)
Te 0.0556 0.2500 0.6059 (multiplicity 4)
Te 0.0746 0.7500 0.0990 (multiplicity 4)
Te 0.2301 0.7500 0.8575 (multiplicity 4)
Au 0.2329 0.7500 0.2376 (multiplicity 4)

---

[7]
Theoretical powder diffraction line list
Compound: BeCu2Sb
Radiation: Cu Ka
Structure: a DFT-relaxed cell (PBE, OQMD)
Intensities are scaled so that the largest is 100.

Largest 10 diffraction maxima, sorted by position, 2θ = 10–90°:
- d 3.561, 25.00 deg, rel. 17
- d 2.759, 32.45 deg, rel. 59
- d 2.181, 41.40 deg, rel. 100
- d 2.056, 44.04 deg, rel. 22
- d 1.542, 59.99 deg, rel. 11
- d 1.496, 62.03 deg, rel. 20
- d 1.346, 69.88 deg, rel. 8
- d 1.259, 75.50 deg, rel. 19
- d 1.234, 77.35 deg, rel. 7
- d 1.145, 84.60 deg, rel. 13

Unit cell a=6.1686 b=6.1686 c=6.1686 alpha=90.00 beta=90.00 gamma=90.00
Space group Pm-3m (No. 221)
Asymmetric unit:
Be 0.0000 0.0000 0.0000 (multiplicity 1)
Be 0.0000 0.0000 0.5000 (multiplicity 3)
Cu 0.2075 0.2075 0.2075 (multiplicity 8)
Sb 0.0000 0.5000 0.5000 (multiplicity 3)
Sb 0.5000 0.5000 0.5000 (multiplicity 1)

---

[8]
Theoretical powder diffraction line list
Compound: Zr2ScSi2Ni4Ge2
Radiation: Cu Ka
Structure: a DFT-relaxed cell (PBE, OQMD)
Intensities are scaled so that the largest is 100.

Largest 10 diffraction maxima, sorted by position, 2θ = 10–90°:
- d 5.787, 15.31 deg, rel. 18
- d 2.443, 36.79 deg, rel. 100
- d 2.404, 37.41 deg, rel. 17
- d 2.323, 38.77 deg, rel. 58
- d 2.156, 41.90 deg, rel. 71
- d 1.946, 46.68 deg, rel. 38
- d 1.929, 47.11 deg, rel. 34
- d 1.811, 50.39 deg, rel. 17
- d 1.794, 50.89 deg, rel. 25
- d 1.370, 68.49 deg, rel. 21

Unit cell a=3.8913 b=6.4697 c=12.9464 alpha=90.00 beta=90.00 gamma=90.00
Space group Immm (No. 71)
Asymmetric unit:
Zr 0.0000 0.0000 0.1277 (multiplicity 4)
Sc 0.0000 0.5000 0.0000 (multiplicity 2)
Si 0.0000 0.5000 0.2143 (multiplicity 4)
Ni 0.0000 0.1986 0.3193 (multiplicity 8)
Ge 0.0000 0.2988 0.5000 (multiplicity 4)

---

[9]
Theoretical powder diffraction line list
Compound: Er2AlNiOs
Radiation: Cu Ka
Structure: a DFT-relaxed cell (PBE, OQMD)
Intensities are scaled so that the largest is 100.

Largest 10 diffraction maxima, sorted by position, 2θ = 10–90°:
- d 4.652, 19.08 deg, rel. 45
- d 3.304, 26.99 deg, rel. 64
- d 2.596, 34.56 deg, rel. 100
- d 2.501, 35.90 deg, rel. 28
- d 2.326, 38.71 deg, rel. 69
- d 2.310, 38.99 deg, rel. 69
- d 2.226, 40.53 deg, rel. 71
- d 2.048, 44.23 deg, rel. 37
- d 1.537, 60.21 deg, rel. 38
- d 1.357, 69.21 deg, rel. 38

Unit cell a=4.0958 b=8.3908 c=5.5893 alpha=90.00 beta=90.00 gamma=90.00
Space group Imm2 (No. 44)
Asymmetric unit:
Er 0.0000 0.2007 0.0000 (multiplicity 4)
Al 0.0000 0.0000 0.4940 (multiplicity 2)
Ni 0.0000 0.5000 0.2556 (multiplicity 2)
Os 0.0000 0.5000 0.7197 (multiplicity 2)

---

[10]
Theoretical powder diffraction line list
Compound: RbAs2PdPt
Radiation: Cu Ka
Structure: a DFT-relaxed cell (PBE, OQMD)
Intensities are scaled so that the largest is 100.

Largest 10 diffraction maxima, sorted by position, 2θ = 10–90°:
- d 6.287, 14.09 deg, rel. 100
- d 3.140, 28.42 deg, rel. 35
- d 3.049, 29.29 deg, rel. 26
- d 2.961, 30.18 deg, rel. 40
- d 2.683, 33.40 deg, rel. 22
- d 2.214, 40.76 deg, rel. 35
- d 2.133, 42.37 deg, rel. 13
- d 2.052, 44.14 deg, rel. 13
- d 1.938, 46.89 deg, rel. 24
- d 1.796, 50.83 deg, rel. 21

Unit cell a=5.7460 b=6.9724 c=6.7330 alpha=90.00 beta=110.96 gamma=90.00
Space group C2 (No. 5)
Asymmetric unit:
Rb 0.0000 0.0000 0.0000 (multiplicity 2)
As 0.1219 0.4987 0.3412 (multiplicity 4)
Pd 0.0000 0.2036 0.5000 (multiplicity 2)
Pt 0.0000 0.7968 0.5000 (multiplicity 2)

---

[11]
Theoretical powder diffraction line list
Compound: ZnW
Radiation: Cu Ka
Structure: a DFT-relaxed cell (PBE, OQMD)
Intensities are scaled so that the largest is 100.

Largest 10 diffraction maxima, sorted by position, 2θ = 10–90°:
- d 8.543, 10.35 deg, rel. 11
- d 4.271, 20.80 deg, rel. 11
- d 3.063, 29.15 deg, rel. 10
- d 2.339, 38.49 deg, rel. 23
- d 2.302, 39.13 deg, rel. 35
- d 2.151, 42.01 deg, rel. 100
- d 2.085, 43.40 deg, rel. 16
- d 1.641, 56.06 deg, rel. 16
- d 1.298, 72.88 deg, rel. 19
- d 1.176, 81.94 deg, rel. 12

Unit cell a=4.6040 b=8.5429 c=4.6774 alpha=90.00 beta=90.00 gamma=90.00
Space group Pmc2_1 (No. 26)
Asymmetric unit:
Zn 0.0000 0.0702 0.0000 (multiplicity 2)
Zn 0.0000 0.2461 0.4370 (multiplicity 2)
Zn 0.5000 0.2442 0.8413 (multiplicity 2)
W 0.0000 0.4266 0.9145 (multiplicity 2)
W 0.5000 0.0809 0.3325 (multiplicity 2)
W 0.5000 0.4158 0.3564 (multiplicity 2)

---

[12]
Theoretical powder diffraction line list
Compound: Cu2Ag
Radiation: Cu Ka
Structure: a DFT-relaxed cell (PBE, OQMD)
Intensities are scaled so that the largest is 100.

Largest 10 diffraction maxima, sorted by position, 2θ = 10–90°:
- d 4.047, 21.96 deg, rel. 2
- d 3.451, 25.81 deg, rel. 7
- d 2.559, 35.06 deg, rel. 3
- d 2.203, 40.97 deg, rel. 100
- d 2.024, 44.79 deg, rel. 1
- d 1.908, 47.67 deg, rel. 47
- d 1.490, 62.30 deg, rel. 2
- d 1.349, 69.71 deg, rel. 28
- d 1.150, 84.15 deg, rel. 32
- d 1.101, 88.84 deg, rel. 10

Unit cell a=4.6734 b=4.6734 c=6.6080 alpha=90.00 beta=90.00 gamma=120.00
Space group P3_112 (No. 151)
Asymmetric unit:
Cu 0.2137 0.1069 0.0000 (multiplicity 3)
Cu 0.2191 0.4383 0.6667 (multiplicity 3)
Ag 0.5481 0.0962 0.6667 (multiplicity 3)